Diffraction record for Na5Cr3F14. The PXRD pattern is theoretical, not measured: it uses DFT lattice parameters and positions (GGA+U) and Cu Kα, 1.54184 Å.

Cell: 7.4274 7.3459 12.8737 Å, 90.00 124.29 90.00°
Fractional coordinates of all 44 atoms:
Na 0.0000 0.0000 0.0000
Na 0.0000 0.5000 0.5000
Na 0.0166 0.2456 0.7398
Na 0.0166 0.2544 0.2398
Na 0.4920 0.6997 0.2529
Na 0.4920 0.8003 0.7529
Na 0.5080 0.1997 0.2471
Na 0.5080 0.3003 0.7471
Na 0.9834 0.7456 0.7602
Na 0.9834 0.7544 0.2602
Cr 0.0000 0.0000 0.5000
Cr 0.0000 0.5000 0.0000
Cr 0.5000 0.0000 0.0000
Cr 0.5000 0.0000 0.5000
Cr 0.5000 0.5000 0.0000
Cr 0.5000 0.5000 0.5000
F 0.1137 0.6630 0.1420
F 0.1137 0.8370 0.6420
F 0.1481 0.2086 0.6081
F 0.1481 0.2914 0.1081
F 0.1837 0.0033 0.8814
F 0.1837 0.4967 0.3814
F 0.2427 0.5776 0.9910
F 0.2427 0.9224 0.4910
F 0.3188 0.0574 0.3242
F 0.3188 0.4426 0.8242
F 0.4467 0.5633 0.6269
F 0.4467 0.9367 0.1269
F 0.4867 0.2477 0.5503
F 0.4867 0.2523 0.0503
F 0.5133 0.7477 0.9497
F 0.5133 0.7523 0.4497
F 0.5533 0.0633 0.8731
F 0.5533 0.4367 0.3731
F 0.6812 0.5574 0.1758
F 0.6812 0.9426 0.6758
F 0.7573 0.0776 0.5090
F 0.7573 0.4224 0.0090
F 0.8163 0.5033 0.6186
F 0.8163 0.9967 0.1186
F 0.8519 0.7086 0.8919
F 0.8519 0.7914 0.3919
F 0.8863 0.1630 0.3580
F 0.8863 0.3370 0.8580

Most intense lines, 5 to 70 degrees two-theta, low angle first:
2θ (°), intensity
14.66, 23.3
16.67, 50.2
23.98, 23.7
24.23, 16.1
29.10, 40.4
29.56, 100.0
34.34, 18.8
48.58, 25.2
49.07, 20.5
49.19, 29.2
57.75, 16.9
58.59, 19.8